Structure and theoretical XRD peak list of KUAg2Te4 (DFT lattice parameters and positions (PBE); Cu Ka).

Crystal structure
a b c (Å): 7.0513 7.0513 7.0513
angles (deg): 117.60 108.05 103.11
Atoms (fractional coordinates):
K (0.0000, 0.0000, 0.0000)
U (0.5000, 0.5000, 0.0000)
Ag (0.3359, 0.8359, 0.5000)
Ag (0.6641, 0.1641, 0.5000)
Te (0.0877, 0.0916, 0.5590)
Te (0.4674, 0.9084, 0.9961)
Te (0.5326, 0.5287, 0.4410)
Te (0.9123, 0.4713, 0.0039)

Top 6 peaks for 5 to 70 degrees two-theta, in order of falling intensity:
2θ (°), Rel. int.
26.03, 100
32.69, 99
14.71, 85
44.51, 38
29.67, 37
28.58, 34